(1)
Calculated X-ray powder pattern
Compound: Pr12YEr2
Radiation: Cu Ka
Structure: a GGA-PBE-relaxed structure
Kinematic intensities with the Lorentz-polarization factor, no thermal factor.

Lattice parameters (Å, degrees): 6.898 6.898 25.216 90.00 90.00 116.59
Atoms (fractional coordinates):
Pr (0.001, 0.501, 0.131)
Pr (0.002, 0.998, 0.927)
Pr (0.020, 0.520, 0.586)
Pr (0.024, 0.976, 0.440)
Pr (0.250, 0.250, 0.199)
Pr (0.250, 0.250, 0.324)
Pr (0.250, 0.250, 0.676)
Pr (0.250, 0.250, 0.801)
Pr (0.476, 0.524, 0.440)
Pr (0.480, 0.980, 0.586)
Pr (0.498, 0.502, 0.927)
Pr (0.499, 0.999, 0.131)
Pr (0.501, 0.001, 0.869)
Pr (0.502, 0.498, 0.073)
Pr (0.520, 0.020, 0.414)
Pr (0.524, 0.476, 0.560)
Pr (0.750, 0.750, 0.199)
Pr (0.750, 0.750, 0.324)
Pr (0.750, 0.750, 0.676)
Pr (0.750, 0.750, 0.801)
Pr (0.976, 0.024, 0.560)
Pr (0.980, 0.480, 0.414)
Pr (0.998, 0.002, 0.073)
Pr (0.999, 0.499, 0.869)
Y (0.250, 0.750, 0.001)
Y (0.750, 0.250, 0.999)
Er (0.250, 0.750, 0.271)
Er (0.250, 0.750, 0.733)
Er (0.750, 0.250, 0.267)
Er (0.750, 0.250, 0.729)

Principal peaks in the range 10 to 90 degrees two-theta, in order of rising 2θ:
2θ/deg	I (rel.)
28.4	29
29.1	45
29.8	83
30.5	74
32.3	100
36.1	30
42.1	19
46.9	19
57.0	19
60.0	20

***

(2)
Calculated X-ray powder pattern
Compound: NiAsC
Radiation: Cu Ka
Structure: a GGA-PBE-relaxed structure
Kinematic intensities with the Lorentz-polarization factor, no thermal factor.

Lattice parameters (Å, degrees): 2.803 4.675 4.675 39.07 90.00 90.00
Atoms (fractional coordinates):
Ni (0.000, 0.000, 0.000)
As (0.500, 0.781, 0.781)
C (0.500, 0.147, 0.147)

Principal peaks in the range 10 to 90 degrees two-theta, in order of rising 2θ:
2θ/deg	I (rel.)
30.3	100
38.0	88
41.0	27
42.2	16
44.6	37
53.9	57
59.1	13
60.3	21
72.5	24
75.0	14